(1)
For MnZn3Fe8O16, a structure optimized by DFT (GGA+U) gives the theoretical powder diffractogram in this record (Cu Kα X-rays).

Peak list (10 most intense, 5 to 70 degrees two-theta, low angle first)
(1 0 1), d = 4.964 Å, 17.9°, rel. 7
(2 0 0), d = 3.040 Å, 29.4°, rel. 34
(2 1 1), d = 2.592 Å, 34.6°, rel. 100
(2 0 2), d = 2.482 Å, 36.2°, rel. 8
(2 2 0), d = 2.149 Å, 42.0°, rel. 16
(3 1 2), d = 1.755 Å, 52.1°, rel. 12
(3 2 1), d = 1.655 Å, 55.5°, rel. 37
(4 0 0), d = 1.520 Å, 61.0°, rel. 44
(2 1 5), d = 1.453 Å, 64.1°, rel. 1
(4 2 0), d = 1.359 Å, 69.1°, rel. 5

abc: 6.079 6.079 8.597
angles: 90.00 90.00 90.00
Space group P-4m2 (No. 115)
Asymmetric unit:
Mn  0.000  0.000  0.000 (multiplicity 1)
Zn  0.000  0.500  0.750 (multiplicity 2)
Zn  0.500  0.500  0.500 (multiplicity 1)
Fe  0.000  0.251  0.376 (multiplicity 4)
Fe  0.250  0.500  0.126 (multiplicity 4)
O  0.000  0.229  0.615 (multiplicity 4)
O  0.000  0.278  0.140 (multiplicity 4)
O  0.230  0.500  0.366 (multiplicity 4)
O  0.270  0.500  0.886 (multiplicity 4)

=====

(2)
For Li7Co5O12, a structure optimized by DFT (GGA+U) gives the theoretical powder diffractogram in this record (Cu Kα X-rays).

Peak list (12 most intense, 5 to 70 degrees two-theta, low angle first)
(0 0 1), d = 8.810 Å, 10.0°, rel. 9
(0 1 1), d = 7.466 Å, 11.9°, rel. 14
(0 1 -1), d = 4.803 Å, 18.5°, rel. 100
(0 3 3), d = 2.481 Å, 36.2°, rel. 14
(1 1 2), d = 2.474 Å, 36.3°, rel. 14
(-1 1 2), d = 2.442 Å, 36.8°, rel. 12
(1 0 3), d = 2.067 Å, 43.8°, rel. 28
(0 4 2), d = 2.062 Å, 43.9°, rel. 27
(1 0 -3), d = 2.037 Å, 44.5°, rel. 26
(0 0 6), d = 1.468 Å, 63.3°, rel. 7
(1 -4 1), d = 1.462 Å, 63.7°, rel. 7
(1 4 5), d = 1.457 Å, 63.9°, rel. 14

abc: 2.869 8.247 9.696
angles: 65.32 89.13 89.72
Space group P-1 (No. 2)
Asymmetric unit:
Li  0.000  0.000  0.000 (multiplicity 1)
Li  0.000  0.500  0.000 (multiplicity 1)
Li  0.010  0.160  0.674 (multiplicity 2)
Li  0.498  0.313  0.839 (multiplicity 2)
Li  0.500  0.000  0.500 (multiplicity 1)
Co  0.004  0.336  0.329 (multiplicity 2)
Co  0.499  0.841  0.837 (multiplicity 2)
Co  0.500  0.500  0.500 (multiplicity 1)
O  0.004  0.903  0.688 (multiplicity 2)
O  0.006  0.760  0.979 (multiplicity 2)
O  0.022  0.580  0.340 (multiplicity 2)
O  0.474  0.742  0.513 (multiplicity 2)
O  0.487  0.397  0.174 (multiplicity 2)
O  0.495  0.939  0.168 (multiplicity 2)

=====

(3)
For Li4V3O8, a structure optimized by DFT (GGA+U) gives the theoretical powder diffractogram in this record (Cu Kα X-rays).

Peak list (12 most intense, 5 to 70 degrees two-theta, low angle first)
(0 0 1), d = 5.137 Å, 17.3°, rel. 100
(1 0 0), d = 4.816 Å, 18.4°, rel. 21
(1 -1 1), d = 4.235 Å, 21.0°, rel. 11
(2 -1 1), d = 2.540 Å, 35.3°, rel. 6
(2 -2 1), d = 2.501 Å, 35.9°, rel. 29
(0 2 0), d = 2.123 Å, 42.6°, rel. 20
(2 -2 2), d = 2.115 Å, 42.8°, rel. 39
(0 2 1), d = 1.666 Å, 55.1°, rel. 6
(2 0 -3), d = 1.662 Å, 55.3°, rel. 6
(2 -2 3), d = 1.659 Å, 55.4°, rel. 6
(2 0 2), d = 1.535 Å, 60.3°, rel. 11
(4 -2 0), d = 1.463 Å, 63.6°, rel. 17

abc: 5.852 5.854 6.137
angles: 118.23 90.10 119.97
Space group P-1 (No. 2)
Asymmetric unit:
Li  0.000  0.000  0.000 (multiplicity 1)
Li  0.142  0.282  0.426 (multiplicity 2)
Li  0.500  0.000  0.500 (multiplicity 1)
V  0.000  0.500  0.000 (multiplicity 1)
V  0.500  0.000  0.000 (multiplicity 1)
V  0.500  0.500  0.000 (multiplicity 1)
O  0.230  0.948  0.207 (multiplicity 2)
O  0.258  0.487  0.207 (multiplicity 2)
O  0.264  0.529  0.792 (multiplicity 2)
O  0.282  0.025  0.794 (multiplicity 2)

=====

(4)
For VF5, a structure optimized by DFT (GGA+U) gives the theoretical powder diffractogram in this record (Cu Kα X-rays).

Peak list (12 most intense, 5 to 70 degrees two-theta, low angle first)
(1 0 1), d = 5.253 Å, 16.9°, rel. 100
(2 0 0), d = 4.704 Å, 18.9°, rel. 68
(0 1 1), d = 4.438 Å, 20.0°, rel. 34
(2 1 1), d = 3.228 Å, 27.6°, rel. 7
(0 2 0), d = 3.111 Å, 28.7°, rel. 22
(4 0 0), d = 2.352 Å, 38.3°, rel. 15
(0 2 2), d = 2.219 Å, 40.7°, rel. 9
(0 1 3), d = 1.999 Å, 45.4°, rel. 14
(0 3 1), d = 1.971 Å, 46.0°, rel. 12
(2 3 1), d = 1.818 Å, 50.2°, rel. 10
(5 0 1), d = 1.804 Å, 50.6°, rel. 7
(1 3 2), d = 1.706 Å, 53.7°, rel. 9

abc: 9.409 6.223 6.332
angles: 90.00 90.00 90.00
Space group Pnma (No. 62)
Asymmetric unit:
V  0.004  0.250  0.098 (multiplicity 4)
F  0.014  0.558  0.167 (multiplicity 8)
F  0.017  0.250  0.374 (multiplicity 4)
F  0.183  0.750  0.918 (multiplicity 4)
F  0.186  0.250  0.027 (multiplicity 4)

=====

(5)
For Lu2MnGe4O12, a structure optimized by DFT (GGA+U) gives the theoretical powder diffractogram in this record (Cu Kα X-rays).

Peak list (12 most intense, 5 to 70 degrees two-theta, low angle first)
(2 0 0), d = 7.007 Å, 12.6°, rel. 59
(2 0 1), d = 4.061 Å, 21.9°, rel. 66
(2 4 0), d = 3.145 Å, 28.4°, rel. 26
(0 4 1), d = 2.875 Å, 31.1°, rel. 100
(4 0 1), d = 2.866 Å, 31.2°, rel. 96
(0 0 2), d = 2.491 Å, 36.1°, rel. 20
(4 4 0), d = 2.483 Å, 36.2°, rel. 47
(2 4 2), d = 1.953 Å, 46.5°, rel. 20
(6 4 1), d = 1.813 Å, 50.3°, rel. 19
(4 4 2), d = 1.759 Å, 52.0°, rel. 67
(4 0 3), d = 1.501 Å, 61.8°, rel. 53
(8 4 1), d = 1.496 Å, 62.0°, rel. 24

abc: 14.012 14.081 4.982
angles: 90.00 90.00 90.00
Space group Cmme (No. 67)
Asymmetric unit:
Lu  0.250  0.000  0.000 (multiplicity 4)
Lu  0.250  0.250  0.000 (multiplicity 4)
Mn  0.000  0.000  0.000 (multiplicity 4)
Ge  0.114  0.133  0.496 (multiplicity 16)
O  0.000  0.131  0.667 (multiplicity 8)
O  0.118  0.050  0.238 (multiplicity 16)
O  0.125  0.250  0.326 (multiplicity 8)
O  0.198  0.134  0.758 (multiplicity 16)